1.
For CaDy4Er, DFT lattice parameters and positions (GGA-PBE) gives the simulated X-ray powder pattern in this record (Cu Kα).
Lines closer than 0.1° are merged.

Principal peaks in the range 10° ≤ 2θ ≤ 90°, in order of rising 2θ:
10.26 deg, 8.618 Å, I 26, hkl 2 0 0
28.72 deg, 3.108 Å, I 31, hkl 1 1 -1
29.35 deg, 3.043 Å, I 40, hkl 1 1 1
31.13 deg, 2.873 Å, I 82, hkl 6 0 0
31.62 deg, 2.829 Å, I 51, hkl 2 0 2
31.76 deg, 2.817 Å, I 99, hkl 3 1 -1
33.35 deg, 2.687 Å, I 51, hkl 4 0 -2
33.45 deg, 2.679 Å, I 100, hkl 3 1 1
50.32 deg, 1.813 Å, I 43, hkl 1 1 -3
57.95 deg, 1.591 Å, I 35, hkl 9 1 1
60.36 deg, 1.533 Å, I 49, hkl 5 1 3
60.59 deg, 1.528 Å, I 32, hkl 6 2 0

Structure:
a b c (Å): 17.362 3.610 6.291
angles (deg): 90.00 96.90 90.00
Space group C2/m (No. 12)
One atom of each set of equivalent atoms:
1 Ca 0.000 0.000 0.000 [2 per cell]
2 Dy 0.168 0.000 0.393 [4 per cell]
3 Dy 0.172 0.500 0.886 [4 per cell]
4 Er 0.000 0.500 0.500 [2 per cell]

=====

2.
For La2Pr2SmY, DFT lattice parameters and positions (GGA-PBE) gives the simulated X-ray powder pattern in this record (Cu Kα).
Lines closer than 0.1° are merged.

Principal peaks in the range 10° ≤ 2θ ≤ 90°, in order of rising 2θ:
30.53 deg, 2.928 Å, I 84, hkl 2 1 1
30.72 deg, 2.911 Å, I 100, hkl 0 2 0
39.84 deg, 2.263 Å, I 18, hkl 2 2 0
43.86 deg, 2.064 Å, I 31, hkl 2 0 4
54.49 deg, 1.684 Å, I 32, hkl 2 2 4
54.61 deg, 1.680 Å, I 19, hkl 0 3 3
60.51 deg, 1.530 Å, I 29, hkl 4 2 0
63.97 deg, 1.455 Å, I 12, hkl 0 4 0
72.53 deg, 1.303 Å, I 14, hkl 2 1 7
77.78 deg, 1.228 Å, I 14, hkl 4 3 3
85.90 deg, 1.131 Å, I 11, hkl 4 4 0
88.93 deg, 1.101 Å, I 12, hkl 0 5 3

Structure:
a b c (Å): 7.195 5.826 10.075
angles (deg): 90.00 90.00 90.00
Space group Pmma (No. 51)
One atom of each set of equivalent atoms:
1 La 0.000 0.000 0.000 [2 per cell]
2 La 0.250 0.500 0.174 [2 per cell]
3 Pr 0.250 0.000 0.332 [2 per cell]
4 Pr 0.250 0.500 0.836 [2 per cell]
5 Sm 0.250 0.000 0.659 [2 per cell]
6 Y 0.000 0.500 0.500 [2 per cell]